Ca2SeS2: calculated XRD peak list (a wavelength of 1.5418 Å), based on a structure optimized by DFT (PBE).

Principal peaks in the range 2θ from 5° to 70°, most intense first:
d = 2.781 Å, 32.2 deg, I 100, hkl 1 1 2; d = 2.644 Å, 33.9 deg, I 90, hkl 2 0 0; d = 2.457 Å, 36.6 deg, I 47, hkl 1 0 3; d = 1.800 Å, 50.7 deg, I 35, hkl 2 1 3; d = 1.551 Å, 59.6 deg, I 31, hkl 3 1 2; d = 1.869 Å, 48.7 deg, I 30, hkl 2 2 0; d = 3.738 Å, 23.8 deg, I 17, hkl 1 1 0; d = 4.463 Å, 19.9 deg, I 13, hkl 1 0 1

Unit cell a=5.2870 b=5.2870 c=8.3232 alpha=90.00 beta=90.00 gamma=90.00
Space group I4/mmm (No. 139)
One atom of each set of equivalent atoms:
Ca (0.0000, 0.5000, 0.2500) (multiplicity 4)
Se (0.0000, 0.0000, 0.0000) (multiplicity 2)
S (0.0000, 0.0000, 0.3696) (multiplicity 4)

Mn2HgBr4: calculated XRD peak list (a wavelength of 1.5418 Å), based on a structure optimized by DFT (PBE).

Principal peaks in the range 2θ from 5° to 70°, most intense first:
d = 3.336 Å, 26.7 deg, I 100, hkl 2 2 -1; d = 3.022 Å, 29.6 deg, I 83, hkl 1 1 2; d = 3.923 Å, 22.7 deg, I 50, hkl 1 3 0; d = 4.311 Å, 20.6 deg, I 43, hkl 1 1 1; d = 2.595 Å, 34.6 deg, I 38, hkl 1 3 2; d = 3.282 Å, 27.2 deg, I 33, hkl 1 3 -2; d = 2.482 Å, 36.2 deg, I 32, hkl 2 4 -2; d = 3.297 Å, 27.0 deg, I 29, hkl 0 4 1

Unit cell a=7.5405 b=14.3167 c=9.2709 alpha=90.00 beta=113.93 gamma=90.00
Space group Cc (No. 9)
One atom of each set of equivalent atoms:
Mn (0.0000, 0.0108, 0.0000) (multiplicity 4)
Mn (0.1775, 0.2606, 0.8538) (multiplicity 4)
Hg (0.3453, 0.1251, 0.6769) (multiplicity 4)
Br (0.1052, 0.0607, 0.2931) (multiplicity 4)
Br (0.1867, 0.4275, 0.9568) (multiplicity 4)
Br (0.4072, 0.3226, 0.3972) (multiplicity 4)
Br (0.4892, 0.1893, 0.0608) (multiplicity 4)

RbAg6Se4: calculated XRD peak list (a wavelength of 1.5418 Å), based on a structure optimized by DFT (PBE).

Principal peaks in the range 2θ from 5° to 70°, most intense first:
d = 2.313 Å, 38.9 deg, I 100, hkl 1 1 8; d = 2.229 Å, 40.5 deg, I 65, hkl 2 0 0; d = 13.623 Å, 6.5 deg, I 42, hkl 0 0 2; d = 3.450 Å, 25.8 deg, I 42, hkl 1 0 5; d = 3.071 Å, 29.1 deg, I 23, hkl 1 1 2; d = 1.353 Å, 69.5 deg, I 22, hkl 2 0 16; d = 1.576 Å, 58.6 deg, I 21, hkl 2 2 0; d = 2.860 Å, 31.3 deg, I 20, hkl 1 1 4

Unit cell a=4.4573 b=4.4573 c=27.2460 alpha=90.00 beta=90.00 gamma=90.00
Space group I4/mmm (No. 139)
One atom of each set of equivalent atoms:
Rb (0.0000, 0.0000, 0.0000) (multiplicity 2)
Ag (0.0000, 0.5000, 0.1238) (multiplicity 8)
Ag (0.0000, 0.5000, 0.2500) (multiplicity 4)
Se (0.0000, 0.0000, 0.1903) (multiplicity 4)
Se (0.0000, 0.0000, 0.4299) (multiplicity 4)